# MgCu4H8C2O10
Simulated XRD peak list, Cu Ka. Input: a structure optimized by DFT (GGA-PBE).
Lines closer than 0.1° are merged.

Cell and atoms:
Cell lengths 5.9521, 6.1677, 7.7762 Å; angles 93.47, 111.30, 92.19 degrees
Fractional coordinates of all 25 atoms:
1 Mg 0.0000 0.0000 0.0000
2 Cu 0.2221 0.6525 0.4824
3 Cu 0.2733 0.1434 0.4719
4 Cu 0.7489 0.4198 0.4600
5 Cu 0.7766 0.8603 0.5289
6 H 0.2393 0.5372 0.1235
7 H 0.4337 0.2113 0.8860
8 H 0.5137 0.9077 0.7261
9 H 0.6072 0.4001 0.7154
10 H 0.6299 0.7121 0.2061
11 H 0.9017 0.9339 0.2835
12 H 0.9207 0.1924 0.7019
13 H 0.9734 0.3611 0.2567
14 C 0.0517 0.5173 0.0198
15 C 0.4770 0.0823 0.9846
16 O 0.0305 0.3805 0.3948
17 O 0.0622 0.9375 0.2759
18 O 0.3696 0.0752 0.0969
19 O 0.4480 0.8928 0.5884
20 O 0.5198 0.3850 0.5808
21 O 0.6014 0.6760 0.3175
22 O 0.6313 0.9493 0.9731
23 O 0.9253 0.3420 0.0160
24 O 0.9697 0.0453 0.7313
25 O 0.9748 0.6677 0.9155

Most intense lines, 10° ≤ 2θ ≤ 80°, most intense first:
2theta, d (Å), I_rel
12.26, 7.222, 100
24.65, 3.611, 49
30.05, 2.973, 28
32.40, 2.763, 22
36.07, 2.490, 17
32.78, 2.732, 15
39.61, 2.275, 13
34.29, 2.615, 12
39.38, 2.288, 12
37.30, 2.411, 11

***

# CaLa2SnO6
Simulated XRD peak list, Cu Ka. Input: a structure optimized by DFT (GGA-PBE).
Lines closer than 0.1° are merged.

Cell and atoms:
Cell lengths 5.8974, 5.8974, 5.8974 Å; angles 61.15, 61.15, 61.15 degrees
Fractional coordinates of all 10 atoms:
1 Ca 0.0000 0.0000 0.0000
2 La 0.2637 0.2637 0.2637
3 La 0.7363 0.7363 0.7363
4 Sn 0.5000 0.5000 0.5000
5 O 0.1546 0.3719 0.7170
6 O 0.2830 0.8454 0.6281
7 O 0.3719 0.7170 0.1546
8 O 0.6281 0.2830 0.8454
9 O 0.7170 0.1546 0.3719
10 O 0.8454 0.6281 0.2830

Most intense lines, 10° ≤ 2θ ≤ 80°, most intense first:
2theta, d (Å), I_rel
29.78, 3.000, 100
30.32, 2.948, 100
43.02, 2.103, 51
53.20, 1.722, 45
52.86, 1.732, 31
18.16, 4.884, 27
70.43, 1.337, 17
54.20, 1.692, 16
71.29, 1.323, 15
61.85, 1.500, 14

***

# LaEuB12
Simulated XRD peak list, Cu Ka. Input: a structure optimized by DFT (GGA-PBE).
Lines closer than 0.1° are merged.

Cell and atoms:
Cell lengths 5.8782, 5.8782, 5.8782 Å; angles 60.00, 60.00, 60.00 degrees
Fractional coordinates of all 14 atoms:
1 La 0.0000 0.0000 0.0000
2 Eu 0.5000 0.5000 0.5000
3 B 0.1002 0.1002 0.3998
4 B 0.1002 0.3998 0.1002
5 B 0.1002 0.3998 0.3998
6 B 0.3998 0.1002 0.1002
7 B 0.3998 0.1002 0.3998
8 B 0.3998 0.3998 0.1002
9 B 0.6002 0.6002 0.8998
10 B 0.6002 0.8998 0.6002
11 B 0.6002 0.8998 0.8998
12 B 0.8998 0.6002 0.6002
13 B 0.8998 0.6002 0.8998
14 B 0.8998 0.8998 0.6002

Most intense lines, 10° ≤ 2θ ≤ 80°, most intense first:
2theta, d (Å), I_rel
30.41, 2.939, 100
21.38, 4.156, 64
49.00, 1.859, 49
37.48, 2.400, 42
67.62, 1.385, 28
54.04, 1.697, 27
43.55, 2.078, 21
71.82, 1.314, 20
75.93, 1.253, 13
63.28, 1.470, 10

***

# Tm4B6O15
Simulated XRD peak list, Cu Ka. Input: a structure optimized by DFT (GGA-PBE).
Lines closer than 0.1° are merged.

Cell and atoms:
Cell lengths 8.0835, 8.0835, 8.0835 Å; angles 112.28, 112.28, 112.28 degrees
Fractional coordinates of all 25 atoms:
1 Tm 0.0000 0.0000 0.0000
2 Tm 0.1068 0.8063 0.2821
3 Tm 0.2821 0.1068 0.8063
4 Tm 0.8063 0.2821 0.1068
5 B 0.1967 0.2744 0.5050
6 B 0.2744 0.5050 0.1967
7 B 0.5050 0.1967 0.2744
8 B 0.5158 0.8564 0.6044
9 B 0.6044 0.5157 0.8564
10 B 0.8564 0.6044 0.5158
11 O 0.0570 0.2530 0.3179
12 O 0.0898 0.5070 0.1226
13 O 0.1226 0.0898 0.5070
14 O 0.2530 0.3179 0.0570
15 O 0.3179 0.0570 0.2530
16 O 0.3650 0.8994 0.5987
17 O 0.4141 0.4760 0.6907
18 O 0.4760 0.6907 0.4141
19 O 0.5070 0.1226 0.0898
20 O 0.5987 0.3650 0.8994
21 O 0.6907 0.4141 0.4760
22 O 0.7240 0.9922 0.8112
23 O 0.8112 0.7240 0.9922
24 O 0.8994 0.5987 0.3650
25 O 0.9922 0.8112 0.7240

Most intense lines, 10° ≤ 2θ ≤ 80°, most intense first:
2theta, d (Å), I_rel
13.19, 6.712, 100
14.95, 5.924, 69
30.62, 2.920, 44
24.02, 3.704, 39
33.06, 2.710, 34
35.38, 2.537, 29
19.99, 4.442, 25
53.87, 1.702, 22
40.62, 2.221, 20
33.46, 2.678, 18

***

# RbLaMg14
Simulated XRD peak list, Cu Ka. Input: a structure optimized by DFT (GGA-PBE).
Lines closer than 0.1° are merged.

Cell and atoms:
Cell lengths 10.7287, 6.7248, 6.7248 Å; angles 59.41, 90.00, 90.00 degrees
Fractional coordinates of all 16 atoms:
1 Rb 0.0000 0.0000 0.0000
2 La 0.0000 0.4978 0.4978
3 Mg 0.0000 0.5049 0.9988
4 Mg 0.0000 0.9988 0.5049
5 Mg 0.2545 0.6696 0.6696
6 Mg 0.2598 0.1741 0.1741
7 Mg 0.2689 0.1702 0.6579
8 Mg 0.2689 0.6579 0.1702
9 Mg 0.5000 0.9997 0.5008
10 Mg 0.5000 0.0022 0.0022
11 Mg 0.5000 0.5008 0.9997
12 Mg 0.5000 0.5033 0.5033
13 Mg 0.7311 0.1702 0.6579
14 Mg 0.7311 0.6579 0.1702
15 Mg 0.7402 0.1741 0.1741
16 Mg 0.7455 0.6696 0.6696

Most intense lines, 10° ≤ 2θ ≤ 80°, most intense first:
2theta, d (Å), I_rel
35.23, 2.547, 100
34.98, 2.565, 49
33.41, 2.682, 36
17.29, 5.130, 31
30.89, 2.894, 29
22.51, 3.949, 22
60.90, 1.521, 22
15.17, 5.841, 19
65.53, 1.424, 19
16.53, 5.364, 19

***

# K2Re3C2Se5N2
Simulated XRD peak list, Cu Ka. Input: a structure optimized by DFT (GGA-PBE).
Lines closer than 0.1° are merged.

Cell and atoms:
Cell lengths 9.8066, 13.2596, 12.4003 Å; angles 90.00, 123.07, 90.00 degrees
Fractional coordinates of all 56 atoms:
1 K 0.0942 0.1717 0.0016
2 K 0.0942 0.3283 0.5016
3 K 0.2698 0.5598 0.3267
4 K 0.2698 0.9402 0.8267
5 K 0.7302 0.0598 0.1733
6 K 0.7302 0.4402 0.6733
7 K 0.9058 0.6717 0.4984
8 K 0.9058 0.8283 0.9984
9 Re 0.3119 0.5297 0.9991
10 Re 0.3119 0.9703 0.4991
11 Re 0.3810 0.5159 0.8199
12 Re 0.3810 0.9841 0.3199
13 Re 0.4469 0.1382 0.4805
14 Re 0.4469 0.3618 0.9805
15 Re 0.5531 0.6382 0.0195
16 Re 0.5531 0.8618 0.5195
17 Re 0.6190 0.0159 0.6801
18 Re 0.6190 0.4841 0.1801
19 Re 0.6881 0.0297 0.5009
20 Re 0.6881 0.4703 0.0009
21 C 0.2524 0.5415 0.6215
22 C 0.2524 0.9585 0.1215
23 C 0.3929 0.2079 0.9605
24 C 0.3929 0.2921 0.4605
25 C 0.6071 0.7079 0.5395
26 C 0.6071 0.7921 0.0395
27 C 0.7476 0.0415 0.8785
28 C 0.7476 0.4585 0.3785
29 Se 0.0506 0.5795 0.9891
30 Se 0.0506 0.9205 0.4891
31 Se 0.1549 0.0910 0.3079
32 Se 0.1549 0.4090 0.8079
33 Se 0.2557 0.6757 0.8462
34 Se 0.2557 0.8243 0.3462
35 Se 0.3808 0.1171 0.6523
36 Se 0.3808 0.3829 0.1523
37 Se 0.4870 0.6465 0.1912
38 Se 0.4870 0.8535 0.6912
39 Se 0.5130 0.1465 0.3088
40 Se 0.5130 0.3535 0.8088
41 Se 0.6192 0.6171 0.8477
42 Se 0.6192 0.8829 0.3477
43 Se 0.7443 0.1757 0.6538
44 Se 0.7443 0.3243 0.1538
45 Se 0.8451 0.5910 0.1921
46 Se 0.8451 0.9090 0.6921
47 Se 0.9494 0.0795 0.5109
48 Se 0.9494 0.4205 0.0109
49 N 0.1768 0.5589 0.5102
50 N 0.1768 0.9411 0.0102
51 N 0.3613 0.1211 0.9484
52 N 0.3613 0.3789 0.4484
53 N 0.6387 0.6211 0.5516
54 N 0.6387 0.8789 0.0516
55 N 0.8232 0.0589 0.9898
56 N 0.8232 0.4411 0.4898

Most intense lines, 10° ≤ 2θ ≤ 80°, most intense first:
2theta, d (Å), I_rel
10.80, 8.189, 100
11.53, 7.675, 36
13.36, 6.630, 14
42.83, 2.112, 7
42.33, 2.135, 6
34.82, 2.576, 6
39.93, 2.258, 5
32.03, 2.795, 5
43.99, 2.058, 4
30.58, 2.923, 4